# 1
Diffraction record for La5ThPb4. The XRD peak list is computed, not measured: it uses a structure optimized by DFT (GGA-PBE) and Cu Kα.
No peak broadening, texture or thermal motion is included.

The 12 most intense peaks (15 to 90 degrees two-theta), in order of rising 2θ:
d_spacing  I (rel.)
5.619  14
4.369  18
2.865  100
2.730  88
2.691  85
2.026  37
1.823  14
1.636  18
1.626  19
1.617  19
1.611  17
1.537  16

Structure:
abc: 17.212 5.724 7.292
angles: 90.00 91.17 90.00
Space group C2/m (No. 12)
Unique sites:
La: 0.000 0.000 0.000 (multiplicity 2)
La: 0.166 0.500 0.992 (multiplicity 4)
La: 0.167 0.500 0.509 (multiplicity 4)
Th: 0.000 0.000 0.500 (multiplicity 2)
Pb: 0.008 0.500 0.253 (multiplicity 4)
Pb: 0.173 0.000 0.748 (multiplicity 4)

---

# 2
Diffraction record for NdHo2TmHg4. The XRD peak list is computed, not measured: it uses a structure optimized by DFT (GGA-PBE) and Cu Kα.
No peak broadening, texture or thermal motion is included.

The 12 most intense peaks (15 to 90 degrees two-theta), in order of rising 2θ:
d_spacing  I (rel.)
3.735  3
2.649  100
2.633  100
2.152  1
1.867  36
1.532  19
1.523  38
1.520  19
1.324  11
1.316  12
1.183  16
1.179  17

Structure:
abc: 5.2658 5.2658 26.0309
angles: 90.00 90.00 120.00
Space group R-3m (No. 166, hexagonal axes)
Unique sites:
Nd: 0.0000 0.0000 0.0000 (multiplicity 3)
Ho: 0.0000 0.0000 0.2488 (multiplicity 6)
Tm: 0.0000 0.0000 0.5000 (multiplicity 3)
Hg: 0.0000 0.0000 0.1272 (multiplicity 6)
Hg: 0.0000 0.0000 0.3784 (multiplicity 6)

---

# 3
Diffraction record for Pr2PuSe2N2. The XRD peak list is computed, not measured: it uses a structure optimized by DFT (GGA-PBE) and Cu Kα.
No peak broadening, texture or thermal motion is included.

The 12 most intense peaks (15 to 90 degrees two-theta), in order of rising 2θ:
d_spacing  I (rel.)
3.330  36
3.067  96
2.532  100
2.168  43
1.983  11
1.817  14
1.647  63
1.533  14
1.371  17
1.312  13
1.145  11
1.122  21

Structure:
abc: 4.337 4.337 15.595
angles: 90.00 90.00 90.00
Space group I4/mmm (No. 139)
Unique sites:
Pr: 0.000 0.000 0.119 (multiplicity 4)
Pu: 0.000 0.000 0.500 (multiplicity 2)
Se: 0.000 0.000 0.317 (multiplicity 4)
N: 0.000 0.500 0.000 (multiplicity 4)

---

# 4
Diffraction record for Ac2Cd3Hg6. The XRD peak list is computed, not measured: it uses a structure optimized by DFT (GGA-PBE) and Cu Kα.
No peak broadening, texture or thermal motion is included.

The 12 most intense peaks (15 to 90 degrees two-theta), in order of rising 2θ:
d_spacing  I (rel.)
4.274  24
2.978  100
2.809  83
2.768  78
2.588  53
2.375  26
2.323  34
2.224  34
2.137  38
1.692  37
1.548  17
1.541  22

Structure:
abc: 9.997 14.905 4.274
angles: 90.00 90.00 90.00
Space group Cmmm (No. 65)
Unique sites:
Ac: 0.211 0.000 0.000 (multiplicity 4)
Cd: 0.000 0.253 0.000 (multiplicity 4)
Cd: 0.000 0.500 0.500 (multiplicity 2)
Hg: 0.000 0.115 0.500 (multiplicity 4)
Hg: 0.180 0.338 0.500 (multiplicity 8)

---

# 5
Diffraction record for Li2In3Pb4. The XRD peak list is computed, not measured: it uses a structure optimized by DFT (GGA-PBE) and Cu Kα.
No peak broadening, texture or thermal motion is included.

The 12 most intense peaks (15 to 90 degrees two-theta), in order of rising 2θ:
d_spacing  I (rel.)
5.091  51
4.098  36
3.741  30
2.780  100
2.766  98
2.734  96
2.716  94
2.419  71
2.403  75
2.322  60
1.682  45
1.668  44

Structure:
abc: 4.807 5.754 10.020
angles: 74.79 88.83 65.97
Space group P-1 (No. 2)
Unique sites:
Li: 0.158 0.177 0.221 (multiplicity 2)
In: 0.168 0.158 0.554 (multiplicity 2)
In: 0.500 0.500 0.000 (multiplicity 1)
Pb: 0.171 0.162 0.885 (multiplicity 2)
Pb: 0.491 0.501 0.330 (multiplicity 2)

---

# 6
Diffraction record for Ba2LiTi11O24. The XRD peak list is computed, not measured: it uses a structure optimized by DFT (GGA-PBE) and Cu Kα.
No peak broadening, texture or thermal motion is included.

The 12 most intense peaks (15 to 90 degrees two-theta), in order of rising 2θ:
d_spacing  I (rel.)
4.293  26
4.072  25
3.618  30
3.398  26
3.281  21
3.230  87
3.214  100
2.493  30
2.287  23
2.271  20
2.243  32
1.901  27

Structure:
abc: 7.334 7.401 8.969
angles: 77.93 77.96 87.39
Space group P1 (No. 1)
Unique sites:
Ba: 0.000 0.000 0.000 (multiplicity 1)
Ba: 0.015 0.020 0.435 (multiplicity 1)
Li: 0.517 0.818 0.157 (multiplicity 1)
Ti: 0.206 0.545 0.756 (multiplicity 1)
Ti: 0.208 0.540 0.422 (multiplicity 1)
Ti: 0.216 0.525 0.093 (multiplicity 1)
Ti: 0.492 0.198 0.603 (multiplicity 1)
Ti: 0.493 0.183 0.943 (multiplicity 1)
Ti: 0.515 0.184 0.264 (multiplicity 1)
Ti: 0.539 0.831 0.481 (multiplicity 1)
Ti: 0.546 0.830 0.828 (multiplicity 1)
Ti: 0.828 0.507 0.324 (multiplicity 1)
Ti: 0.834 0.499 0.000 (multiplicity 1)
Ti: 0.838 0.477 0.666 (multiplicity 1)
O: 0.061 0.656 0.927 (multiplicity 1)
O: 0.061 0.658 0.598 (multiplicity 1)
O: 0.065 0.662 0.260 (multiplicity 1)
O: 0.307 0.387 0.929 (multiplicity 1)
O: 0.309 0.391 0.600 (multiplicity 1)
O: 0.318 0.394 0.269 (multiplicity 1)
O: 0.366 0.078 0.148 (multiplicity 1)
O: 0.368 0.062 0.814 (multiplicity 1)
O: 0.374 0.063 0.476 (multiplicity 1)
O: 0.380 0.719 0.016 (multiplicity 1)
O: 0.383 0.727 0.379 (multiplicity 1)
O: 0.395 0.721 0.695 (multiplicity 1)
O: 0.637 0.309 0.723 (multiplicity 1)
O: 0.644 0.311 0.396 (multiplicity 1)
O: 0.649 0.301 0.055 (multiplicity 1)
O: 0.658 0.969 0.613 (multiplicity 1)
O: 0.664 0.973 0.932 (multiplicity 1)
O: 0.683 0.980 0.290 (multiplicity 1)
O: 0.724 0.633 0.824 (multiplicity 1)
O: 0.730 0.642 0.489 (multiplicity 1)
O: 0.731 0.635 0.153 (multiplicity 1)
O: 0.970 0.366 0.826 (multiplicity 1)
O: 0.971 0.366 0.163 (multiplicity 1)
O: 0.971 0.371 0.493 (multiplicity 1)

---

# 7
Diffraction record for Ba2HgSb4Pt3. The XRD peak list is computed, not measured: it uses a structure optimized by DFT (GGA-PBE) and Cu Kα.
No peak broadening, texture or thermal motion is included.

The 12 most intense peaks (15 to 90 degrees two-theta), in order of rising 2θ:
d_spacing  I (rel.)
5.429  13
2.915  100
2.447  56
2.136  31
1.985  11
1.873  22
1.730  20
1.604  12
1.542  10
1.488  21
1.345  14
1.187  10

Structure:
abc: 4.894 4.894 10.859
angles: 90.00 90.00 90.00
Space group P-4m2 (No. 115)
Unique sites:
Ba: 0.000 0.500 0.250 (multiplicity 2)
Hg: 0.000 0.000 0.500 (multiplicity 1)
Sb: 0.000 0.000 0.000 (multiplicity 1)
Sb: 0.000 0.500 0.639 (multiplicity 2)
Sb: 0.500 0.500 0.000 (multiplicity 1)
Pt: 0.000 0.500 0.886 (multiplicity 2)
Pt: 0.500 0.500 0.500 (multiplicity 1)

---

# 8
Diffraction record for Rb2AlInAu6. The XRD peak list is computed, not measured: it uses a structure optimized by DFT (GGA-PBE) and Cu Kα.
No peak broadening, texture or thermal motion is included.

The 12 most intense peaks (15 to 90 degrees two-theta), in order of rising 2θ:
d_spacing  I (rel.)
5.811  31
5.108  24
3.173  47
3.068  42
2.906  100
2.554  54
2.433  33
2.361  49
2.295  34
2.245  21
1.939  31
1.703  29

Structure:
abc: 7.060 7.061 7.407
angles: 118.43 90.10 119.87
Space group P-1 (No. 2)
Unique sites:
Rb: 0.207 0.415 0.122 (multiplicity 2)
Al: 0.000 0.000 0.500 (multiplicity 1)
In: 0.500 0.000 0.000 (multiplicity 1)
Au: 0.241 0.895 0.637 (multiplicity 2)
Au: 0.244 0.484 0.638 (multiplicity 2)
Au: 0.347 0.106 0.363 (multiplicity 2)

---

# 9
Diffraction record for Sm5Ga3. The XRD peak list is computed, not measured: it uses a structure optimized by DFT (GGA-PBE) and Cu Kα.
No peak broadening, texture or thermal motion is included.

The 12 most intense peaks (15 to 90 degrees two-theta), in order of rising 2θ:
d_spacing  I (rel.)
3.382  16
3.026  11
2.822  100
2.749  14
2.651  37
2.459  42
2.416  11
1.870  9
1.779  12
1.757  16
1.636  14
1.461  10

Structure:
abc: 7.776 7.776 14.494
angles: 90.00 90.00 90.00
Space group P4/ncc (No. 130, origin choice 2)
Unique sites:
Sm: 0.064 0.593 0.103 (multiplicity 16)
Sm: 0.250 0.250 0.221 (multiplicity 4)
Ga: 0.130 0.630 0.750 (multiplicity 8)
Ga: 0.250 0.250 0.007 (multiplicity 4)